1.
The following is a simulated X-ray powder pattern of Pm2CdAg5. It was derived from a crystal structure in Alexandria, relaxed with GGA-PBE, using Cu Kα (weighted mean of Kα1 and Kα2).

Largest 12 diffraction maxima, sorted by position, 2θ from 10° to 90°:
(2 1 1), 2θ 31.44, I 13
(2 0 2), 2θ 34.81, I 100
(1 0 3), 2θ 36.73, I 13
(2 2 0), 2θ 37.26, I 43
(3 0 1), 2θ 41.31, I 14
(0 0 4), 2θ 46.18, I 9
(4 0 0), 2θ 53.72, I 11
(3 2 3), 2θ 60.31, I 13
(2 2 4), 2θ 60.75, I 14
(3 1 4), 2θ 64.07, I 7
(4 2 2), 2θ 65.62, I 18
(2 1 5), 2θ 66.89, I 6

Cell and atoms:
```
data_Pm2CdAg5
_cell_length_a 6.825
_cell_length_b 6.825
_cell_length_c 7.864
_cell_angle_alpha 90.00
_cell_angle_beta 90.00
_cell_angle_gamma 90.00
_symmetry_space_group_name_H-M 'I 4 m m'
_symmetry_Int_Tables_number 107
_symmetry_space_group_name_Hall 'I 4 -2'
loop_
_atom_site_label
_atom_site_type_symbol
_atom_site_fract_x
_atom_site_fract_y
_atom_site_fract_z
Pm1 Pm 0.000 0.500 0.000
Cd1 Cd 0.000 0.000 0.076
Ag1 Ag 0.000 0.000 0.451
Ag2 Ag 0.209 0.209 0.751
```

=====

2.
The following is a simulated X-ray powder pattern of Tl4AuSe6. It was derived from a crystal structure in Alexandria, relaxed with GGA-PBE, using Cu Kα (weighted mean of Kα1 and Kα2).

Largest 12 diffraction maxima, sorted by position, 2θ from 10° to 90°:
(1 1 0), 2θ 13.58, I 23
(3 1 -2), 2θ 22.04, I 100
(4 0 0), 2θ 24.22, I 39
(0 2 1), 2θ 25.65, I 40
(2 2 -1), 2θ 27.05, I 36
(2 0 -4), 2θ 27.72, I 38
(1 1 3), 2θ 28.55, I 44
(2 2 -2), 2θ 28.85, I 50
(3 1 2), 2θ 30.58, I 23
(2 2 -3), 2θ 32.41, I 25
(2 0 -6), 2θ 42.57, I 24
(3 3 2), 2θ 47.09, I 38

Cell and atoms:
```
data_Tl4AuSe6
_cell_length_a 16.079
_cell_length_b 7.271
_cell_length_c 12.875
_cell_angle_alpha 90.00
_cell_angle_beta 113.78
_cell_angle_gamma 90.00
_symmetry_space_group_name_H-M 'C 1 c 1'
_symmetry_Int_Tables_number 9
_symmetry_space_group_name_Hall 'C -2yc'
loop_
_atom_site_label
_atom_site_type_symbol
_atom_site_fract_x
_atom_site_fract_y
_atom_site_fract_z
Tl1 Tl 0.000 0.021 0.000
Tl2 Tl 0.186 0.064 0.851
Tl3 Tl 0.195 0.400 0.567
Tl4 Tl 0.382 0.157 0.206
Au1 Au 0.477 0.297 0.793
Se1 Se 0.071 0.255 0.666
Se2 Se 0.133 0.304 0.336
Se3 Se 0.166 0.201 0.040
Se4 Se 0.338 0.446 0.785
Se5 Se 0.373 0.030 0.932
Se6 Se 0.389 0.223 0.558
```